Record 1
This entry pairs a crystal structure of Dy3In4Co2 with its calculated powder XRD pattern. Radiation: Cu Kα (weighted mean of Kα1 and Kα2). Structure: a PBE-relaxed structure.

```
data_Dy3In4Co2
_chemical_formula_sum 'Dy3 In4 Co2'
_space_group_name_H-M_alt 'P -6'
_space_group_IT_number 174
_cell_length_a 8.1823
_cell_length_b 8.1823
_cell_length_c 3.4985
_cell_angle_alpha 90.00
_cell_angle_beta 90.00
_cell_angle_gamma 120.00
loop_
_space_group_symop_operation_xyz
'x,y,z'
'-x+y,-x,-z'
'-y,x-y,z'
'x,y,-z'
'-x+y,-x,z'
'-y,x-y,-z'
loop_
_atom_site_label
_atom_site_type_symbol
_atom_site_fract_x
_atom_site_fract_y
_atom_site_fract_z
Dy1 Dy 0.0844 0.4061 0.0000
In1 In 0.0000 0.0000 0.0000
In2 In 0.3876 0.2981 0.5000
Co1 Co 0.3333 0.6667 0.5000
Co2 Co 0.6667 0.3333 0.0000
```

Top 10 peaks for 10° ≤ 2θ ≤ 90°, low angle first:
2theta  I/Imax  (hkl)
33.5  91.1  1 2 0
33.7  100.0  1 1 1
36.1  54.7  2 0 1
38.1  35.1  3 0 0
42.5  43.4  2 1 1
52.3  16.6  0 0 2
58.4  18.2  4 0 1
63.1  34.6  2 3 1
63.5  28.2  1 2 2
66.5  13.0  3 0 2



Record 2
This entry pairs a crystal structure of Dy4Mg3Co2 with its calculated powder XRD pattern. Radiation: Cu Kα (weighted mean of Kα1 and Kα2). Structure: a PBE-relaxed structure.

```
data_Dy4Mg3Co2
_chemical_formula_sum 'Dy4 Mg3 Co2'
_space_group_name_H-M_alt 'P 1 2/m 1'
_space_group_IT_number 10
_cell_length_a 7.442
_cell_length_b 3.699
_cell_length_c 8.139
_cell_angle_alpha 90.00
_cell_angle_beta 109.77
_cell_angle_gamma 90.00
loop_
_space_group_symop_operation_xyz
'x,y,z'
'-x,-y,-z'
'-x,y,-z'
'x,-y,z'
loop_
_atom_site_label
_atom_site_type_symbol
_atom_site_fract_x
_atom_site_fract_y
_atom_site_fract_z
Dy1 Dy 0.098 0.000 0.226
Dy2 Dy 0.397 0.000 0.680
Mg1 Mg 0.000 0.500 0.500
Mg2 Mg 0.293 0.500 0.001
Co1 Co 0.352 0.500 0.395
```

Top 10 peaks for 10° ≤ 2θ ≤ 90°, low angle first:
2theta  I/Imax  (hkl)
11.6  36.6  0 0 1
14.0  52.9  1 0 -1
23.2  45.7  0 0 2
24.1  100.0  2 0 -1
31.5  51.9  2 0 1
33.0  35.8  1 0 -3
33.7  85.8  0 1 2
34.3  95.9  2 1 -1
40.0  55.4  2 1 1
49.3  38.6  0 2 0



Record 3
This entry pairs a crystal structure of DyCo5P3 with its calculated powder XRD pattern. Radiation: Cu Kα (weighted mean of Kα1 and Kα2). Structure: a PBE-relaxed structure.

```
data_DyCo5P3
_chemical_formula_sum 'Dy4 Co20 P12'
_space_group_name_H-M_alt 'P n m a'
_space_group_IT_number 62
_cell_length_a 11.719
_cell_length_b 3.644
_cell_length_c 10.257
_cell_angle_alpha 90.00
_cell_angle_beta 90.00
_cell_angle_gamma 90.00
loop_
_space_group_symop_operation_xyz
'x,y,z'
'-x,-y,-z'
'-x+1/2,-y,z+1/2'
'x+1/2,y,-z+1/2'
'x+1/2,-y+1/2,-z+1/2'
'-x+1/2,y+1/2,z+1/2'
'-x,y+1/2,-z'
'x,-y+1/2,z'
loop_
_atom_site_label
_atom_site_type_symbol
_atom_site_fract_x
_atom_site_fract_y
_atom_site_fract_z
Dy1 Dy 0.204 0.250 0.083
Co1 Co 0.011 0.750 0.715
Co2 Co 0.012 0.750 0.093
Co3 Co 0.068 0.750 0.467
Co4 Co 0.176 0.250 0.780
Co5 Co 0.198 0.250 0.382
P1 P 0.109 0.750 0.899
P2 P 0.112 0.250 0.582
P3 P 0.131 0.750 0.271
```

Top 10 peaks for 10° ≤ 2θ ≤ 90°, low angle first:
2theta  I/Imax  (hkl)
27.1  19.1  1 1 1
30.2  15.1  2 0 3
35.8  14.2  1 0 4
38.1  18.7  3 1 2
39.3  100.0  2 1 3
39.5  69.1  4 1 0
40.5  25.6  4 0 3
50.1  36.6  0 2 0
54.1  22.9  6 0 3
76.8  18.0  6 2 3



Record 4
This entry pairs a crystal structure of DyCo3P2 with its calculated powder XRD pattern. Radiation: Cu Kα (weighted mean of Kα1 and Kα2). Structure: a PBE-relaxed structure.

```
data_DyCo3P2
_chemical_formula_sum 'Dy6 Co18 P12'
_space_group_name_H-M_alt 'P m m n'
_space_group_IT_number 59
_cell_length_a 3.694
_cell_length_b 10.527
_cell_length_c 12.156
_cell_angle_alpha 90.00
_cell_angle_beta 90.00
_cell_angle_gamma 90.00
loop_
_space_group_symop_operation_xyz
'x,y,z'
'-x,-y,-z'
'-x+1/2,-y+1/2,z'
'x+1/2,y+1/2,-z'
'x+1/2,-y,-z'
'-x+1/2,y,z'
'-x,y+1/2,-z'
'x,-y+1/2,z'
loop_
_atom_site_label
_atom_site_type_symbol
_atom_site_fract_x
_atom_site_fract_y
_atom_site_fract_z
Dy1 Dy 0.250 0.067 0.206
Dy2 Dy 0.250 0.250 0.476
Co1 Co 0.250 0.129 0.709
Co2 Co 0.250 0.250 0.014
Co3 Co 0.250 0.547 0.431
Co4 Co 0.250 0.583 0.994
Co5 Co 0.250 0.750 0.159
Co6 Co 0.250 0.750 0.703
P1 P 0.250 0.098 0.893
P2 P 0.250 0.560 0.616
P3 P 0.250 0.750 0.345
P4 P 0.250 0.750 0.882
```

Top 10 peaks for 10° ≤ 2θ ≤ 90°, low angle first:
2theta  I/Imax  (hkl)
29.4  11.8  0 0 4
30.5  7.0  1 2 1
36.1  6.9  1 3 1
38.4  100.0  1 3 2
39.3  9.2  1 1 4
40.9  13.1  0 2 5
49.3  19.5  2 0 0
52.1  20.8  0 6 0
74.6  13.9  2 6 0
85.0  9.4  3 3 2



Record 5
This entry pairs a crystal structure of DyCo2Si2 with its calculated powder XRD pattern. Radiation: Cu Kα (weighted mean of Kα1 and Kα2). Structure: a PBE-relaxed structure.

```
data_DyCo2Si2
_chemical_formula_sum 'Dy2 Co4 Si4'
_space_group_name_H-M_alt 'I 4/m m m'
_space_group_IT_number 139
_space_group_name_Hall '-I 4 2'
_cell_length_a 3.879
_cell_length_b 3.879
_cell_length_c 9.759
_cell_angle_alpha 90.00
_cell_angle_beta 90.00
_cell_angle_gamma 90.00
loop_
_atom_site_label
_atom_site_type_symbol
_atom_site_fract_x
_atom_site_fract_y
_atom_site_fract_z
Dy1 Dy 0.000 0.000 0.000
Co1 Co 0.000 0.500 0.250
Si1 Si 0.000 0.000 0.372
```

Top 10 peaks for 10° ≤ 2θ ≤ 90°, low angle first:
2theta  I/Imax  (hkl)
24.7  52.6  1 0 1
36.0  58.2  1 0 3
36.8  17.3  0 0 4
37.6  100.0  1 1 2
46.8  38.5  2 0 0
52.5  18.5  1 0 5
60.5  25.7  2 1 3
61.0  15.2  2 0 4
66.9  18.7  1 1 6
80.8  20.3  3 1 2



Record 6
This entry pairs a crystal structure of DyCoSi with its calculated powder XRD pattern. Radiation: Cu Kα (weighted mean of Kα1 and Kα2). Structure: a PBE-relaxed structure.

```
data_DyCoSi
_chemical_formula_sum 'Dy4 Co4 Si4'
_space_group_name_H-M_alt 'P n m a'
_space_group_IT_number 62
_cell_length_a 6.943
_cell_length_b 4.196
_cell_length_c 6.838
_cell_angle_alpha 90.00
_cell_angle_beta 90.00
_cell_angle_gamma 90.00
loop_
_space_group_symop_operation_xyz
'x,y,z'
'-x,-y,-z'
'-x+1/2,-y,z+1/2'
'x+1/2,y,-z+1/2'
'x+1/2,-y+1/2,-z+1/2'
'-x+1/2,y+1/2,z+1/2'
'-x,y+1/2,-z'
'x,-y+1/2,z'
loop_
_atom_site_label
_atom_site_type_symbol
_atom_site_fract_x
_atom_site_fract_y
_atom_site_fract_z
Dy1 Dy 0.020 0.250 0.186
Co1 Co 0.143 0.750 0.434
Si1 Si 0.194 0.250 0.608
```

Top 10 peaks for 10° ≤ 2θ ≤ 90°, low angle first:
2theta  I/Imax  (hkl)
24.9  52.7  0 1 1
25.7  32.1  2 0 0
36.1  100.0  2 1 1
36.3  87.3  1 1 2
36.9  26.6  2 0 2
41.2  21.7  3 0 1
41.7  31.1  1 0 3
43.1  36.1  0 2 0
59.2  19.9  4 1 1
72.3  22.3  3 1 4



Record 7
This entry pairs a crystal structure of DyCo5Si3 with its calculated powder XRD pattern. Radiation: Cu Kα (weighted mean of Kα1 and Kα2). Structure: a PBE-relaxed structure.

```
data_DyCo5Si3
_chemical_formula_sum 'Dy6 Co30 Si18'
_space_group_name_H-M_alt 'P 63/m'
_space_group_IT_number 176
_space_group_name_Hall '-P 6c'
_cell_length_a 14.7304
_cell_length_b 14.7304
_cell_length_c 3.6762
_cell_angle_alpha 90.00
_cell_angle_beta 90.00
_cell_angle_gamma 120.00
loop_
_atom_site_label
_atom_site_type_symbol
_atom_site_fract_x
_atom_site_fract_y
_atom_site_fract_z
Dy1 Dy 0.1013 0.7072 0.2500
Co1 Co 0.0307 0.8969 0.2500
Co2 Co 0.0462 0.2678 0.2500
Co3 Co 0.0744 0.5344 0.7500
Co4 Co 0.1470 0.4142 0.7500
Co5 Co 0.2255 0.5734 0.2500
Si1 Si 0.0622 0.4329 0.2500
Si2 Si 0.1209 0.8718 0.7500
Si3 Si 0.2394 0.6822 0.7500
```

Top 10 peaks for 10° ≤ 2θ ≤ 90°, low angle first:
2theta  I/Imax  (hkl)
27.1  10.8  1 1 1
30.6  17.4  3 2 0
35.2  14.6  1 3 1
37.3  26.3  4 0 1
39.4  100.0  3 2 1
44.3  11.2  2 5 0
49.6  23.0  0 0 2
54.3  14.9  1 7 0
56.3  13.5  5 3 1
76.6  11.0  1 7 2



Record 8
This entry pairs a crystal structure of Dy3Co2Si3 with its calculated powder XRD pattern. Radiation: Cu Kα (weighted mean of Kα1 and Kα2). Structure: a PBE-relaxed structure.

```
data_Dy3Co2Si3
_chemical_formula_sum 'Dy12 Co8 Si12'
_space_group_name_H-M_alt 'C m c m'
_space_group_IT_number 63
_space_group_name_Hall '-C 2c 2'
_cell_length_a 4.092
_cell_length_b 10.462
_cell_length_c 13.603
_cell_angle_alpha 90.00
_cell_angle_beta 90.00
_cell_angle_gamma 90.00
loop_
_atom_site_label
_atom_site_type_symbol
_atom_site_fract_x
_atom_site_fract_y
_atom_site_fract_z
Dy1 Dy 0.000 0.081 0.111
Dy2 Dy 0.000 0.361 0.250
Co1 Co 0.000 0.214 0.581
Si1 Si 0.000 0.330 0.750
Si2 Si 0.000 0.378 0.040
```

Top 10 peaks for 10° ≤ 2θ ≤ 90°, low angle first:
2theta  I/Imax  (hkl)
24.3  33.1  1 1 1
26.0  47.7  0 2 3
26.8  24.2  1 1 2
34.4  75.0  1 3 1
35.4  100.0  1 1 4
37.3  24.9  0 2 5
39.3  43.9  1 3 3
39.8  43.3  0 0 6
44.3  36.7  2 0 0
61.0  24.0  2 0 6